Entry 1:
This entry pairs a crystal structure of Ce2SF4 with its theoretical powder X-ray diffraction pattern. Radiation: Cu Kα X-rays. Structure: a structure optimized by DFT (GGA-PBE).

Peak list (10 most intense, 10 to 90 degrees two-theta, by intensity)
2θ/deg, d_spacing, intensity
28.33, 3.151, 100
23.83, 3.735, 74
44.78, 2.024, 72
33.95, 2.641, 37
35.28, 2.544, 26
50.37, 1.812, 22
26.69, 3.340, 19
46.25, 1.963, 18
52.68, 1.737, 18
58.60, 1.575, 15

Crystal structure
a = 7.4690 Å, b = 7.4690 Å, c = 3.9257 Å
α = 90.00°, β = 90.00°, γ = 90.00°
Space group P4_2/mnm (No. 136)
Symmetry-distinct sites (fractional):
Ce: 0.2182 0.2182 0.0000 (multiplicity 4)
S: 0.0000 0.0000 0.5000 (multiplicity 2)
F: 0.0890 0.6681 0.0000 (multiplicity 8)

=====

Entry 2:
This entry pairs a crystal structure of BaSbAuS3 with its theoretical powder X-ray diffraction pattern. Radiation: Cu Kα X-rays. Structure: a structure optimized by DFT (GGA-PBE).

Peak list (10 most intense, 10 to 90 degrees two-theta, by intensity)
2θ/deg, d_spacing, intensity
30.85, 2.898, 100
12.63, 7.010, 82
10.87, 8.137, 44
25.41, 3.505, 41
29.46, 3.032, 39
36.43, 2.466, 38
43.84, 2.065, 33
37.18, 2.418, 32
34.27, 2.617, 30
27.27, 3.271, 29

Crystal structure
a = 8.4353 Å, b = 4.1294 Å, c = 9.2767 Å
α = 90.00°, β = 105.29°, γ = 90.00°
Space group P2_1/m (No. 11)
Symmetry-distinct sites (fractional):
Ba: 0.1966 0.2500 0.2469 (multiplicity 2)
Sb: 0.3274 0.7500 0.8485 (multiplicity 2)
Au: 0.1148 0.2500 0.5846 (multiplicity 2)
S: 0.1106 0.2500 0.8718 (multiplicity 2)
S: 0.2588 0.7500 0.5211 (multiplicity 2)
S: 0.4414 0.7500 0.1426 (multiplicity 2)

=====

Entry 3:
This entry pairs a crystal structure of YAlRhO4 with its theoretical powder X-ray diffraction pattern. Radiation: Cu Kα X-rays. Structure: a structure optimized by DFT (GGA-PBE).

Peak list (10 most intense, 10 to 90 degrees two-theta, by intensity)
2θ/deg, d_spacing, intensity
31.38, 2.851, 100
34.68, 2.587, 77
30.26, 2.954, 76
22.19, 4.006, 74
45.28, 2.003, 69
32.87, 2.725, 35
37.03, 2.427, 27
42.83, 2.111, 24
64.07, 1.453, 24
52.05, 1.757, 23

Crystal structure
a = 5.9081 Å, b = 8.6312 Å, c = 7.0277 Å
α = 90.00°, β = 90.00°, γ = 90.00°
Space group Cmcm (No. 63)
Symmetry-distinct sites (fractional):
Y: 0.0000 0.0000 0.0000 (multiplicity 4)
Al: 0.0000 0.3713 0.2500 (multiplicity 4)
Rh: 0.0000 0.2904 0.7500 (multiplicity 4)
O: 0.0000 0.2629 0.0367 (multiplicity 8)
O: 0.2457 0.4930 0.2500 (multiplicity 8)

=====

Entry 4:
This entry pairs a crystal structure of LiNb13O33 with its theoretical powder X-ray diffraction pattern. Radiation: Cu Kα X-rays. Structure: a structure optimized by DFT (GGA-PBE).

Peak list (10 most intense, 10 to 90 degrees two-theta, by intensity)
2θ/deg, d_spacing, intensity
23.35, 3.810, 100
24.23, 3.674, 99
25.73, 3.463, 79
16.38, 5.412, 46
30.74, 2.908, 39
18.89, 4.698, 38
47.02, 1.932, 37
59.20, 1.561, 33
31.30, 2.858, 32
52.62, 1.739, 32

Crystal structure
a = 22.8040 Å, b = 3.8650 Å, c = 15.7022 Å
α = 90.00°, β = 91.83°, γ = 90.00°
Space group C2/m (No. 12)
Symmetry-distinct sites (fractional):
Li: 0.0000 0.0000 0.0000 (multiplicity 2)
Nb: 0.0000 0.5000 0.5000 (multiplicity 2)
Nb: 0.0707 0.5000 0.7284 (multiplicity 4)
Nb: 0.0860 0.5000 0.1741 (multiplicity 4)
Nb: 0.1355 0.5000 0.9687 (multiplicity 4)
Nb: 0.1548 0.5000 0.4031 (multiplicity 4)
Nb: 0.2083 0.0000 0.1254 (multiplicity 4)
Nb: 0.2246 0.5000 0.6363 (multiplicity 4)
O: 0.0000 0.0000 0.5000 (multiplicity 2)
O: 0.0112 0.5000 0.2089 (multiplicity 4)
O: 0.0348 0.5000 0.6198 (multiplicity 4)
O: 0.0659 0.5000 0.0432 (multiplicity 4)
O: 0.0709 0.0000 0.7463 (multiplicity 4)
O: 0.0819 0.5000 0.4514 (multiplicity 4)
O: 0.0992 0.5000 0.8658 (multiplicity 4)
O: 0.1090 0.0000 0.1621 (multiplicity 4)
O: 0.1273 0.5000 0.2866 (multiplicity 4)
O: 0.1516 0.0000 0.9966 (multiplicity 4)
O: 0.1532 0.5000 0.6940 (multiplicity 4)
O: 0.1795 0.0000 0.3997 (multiplicity 4)
O: 0.1811 0.5000 0.1107 (multiplicity 4)
O: 0.1945 0.5000 0.5264 (multiplicity 4)
O: 0.2218 0.5000 0.9304 (multiplicity 4)
O: 0.2332 0.0000 0.2353 (multiplicity 4)
O: 0.2496 0.0000 0.6370 (multiplicity 4)

=====

Entry 5:
This entry pairs a crystal structure of Tl2RuCl5 with its theoretical powder X-ray diffraction pattern. Radiation: Cu Kα X-rays. Structure: a structure optimized by DFT (GGA-PBE).

Peak list (10 most intense, 10 to 90 degrees two-theta, by intensity)
2θ/deg, d_spacing, intensity
22.52, 3.949, 100
25.90, 3.440, 70
33.47, 2.678, 62
32.54, 2.752, 62
24.59, 3.621, 61
20.41, 4.352, 54
26.82, 3.324, 52
20.84, 4.263, 50
42.61, 2.122, 48
35.20, 2.550, 47

Crystal structure
a = 8.9231 Å, b = 6.8794 Å, c = 14.4657 Å
α = 90.00°, β = 90.00°, γ = 90.00°
Space group Pnma (No. 62)
Symmetry-distinct sites (fractional):
Tl: 0.0476 0.2500 0.1945 (multiplicity 4)
Tl: 0.1637 0.7500 0.4127 (multiplicity 4)
Ru: 0.1730 0.7500 0.0537 (multiplicity 4)
Cl: 0.0000 0.0000 0.0000 (multiplicity 4)
Cl: 0.0482 0.7500 0.1981 (multiplicity 4)
Cl: 0.1630 0.0102 0.6040 (multiplicity 8)
Cl: 0.2138 0.2500 0.4024 (multiplicity 4)

=====

Entry 6:
This entry pairs a crystal structure of Ce4Si6Os7 with its theoretical powder X-ray diffraction pattern. Radiation: Cu Kα X-rays. Structure: a structure optimized by DFT (GGA-PBE).

Peak list (10 most intense, 10 to 90 degrees two-theta, by intensity)
2θ/deg, d_spacing, intensity
37.42, 2.403, 100
43.48, 2.081, 74
26.22, 3.399, 65
40.55, 2.225, 57
63.18, 1.472, 46
75.80, 1.255, 35
51.49, 1.775, 19
69.62, 1.350, 17
15.05, 5.886, 16
79.82, 1.202, 15

Crystal structure
a = 8.3248 Å, b = 8.3248 Å, c = 8.3248 Å
α = 90.00°, β = 90.00°, γ = 90.00°
Space group Im-3m (No. 229)
Symmetry-distinct sites (fractional):
Ce: 0.2500 0.2500 0.2500 (multiplicity 8)
Si: 0.0000 0.0000 0.3175 (multiplicity 12)
Os: 0.0000 0.0000 0.0000 (multiplicity 2)
Os: 0.0000 0.2500 0.5000 (multiplicity 12)

=====

Entry 7:
This entry pairs a crystal structure of LaPr6Te8 with its theoretical powder X-ray diffraction pattern. Radiation: Cu Kα X-rays. Structure: a structure optimized by DFT (GGA-PBE).

Peak list (10 most intense, 10 to 90 degrees two-theta, by intensity)
2θ/deg, d_spacing, intensity
27.91, 3.197, 100
39.88, 2.260, 76
65.27, 1.430, 35
49.38, 1.846, 27
72.42, 1.305, 26
57.68, 1.598, 13
86.02, 1.130, 8
23.07, 3.855, 4
30.47, 2.933, 3
13.85, 6.393, 3

Crystal structure
a = 12.7864 Å, b = 12.7864 Å, c = 12.7864 Å
α = 90.00°, β = 90.00°, γ = 90.00°
Space group Fm-3m (No. 225)
Symmetry-distinct sites (fractional):
La: 0.0000 0.0000 0.0000 (multiplicity 4)
Pr: 0.0000 0.2500 0.2500 (multiplicity 24)
Te: 0.0000 0.0000 0.2568 (multiplicity 24)
Te: 0.2500 0.2500 0.2500 (multiplicity 8)

=====

Entry 8:
This entry pairs a crystal structure of BaGe3Au6 with its theoretical powder X-ray diffraction pattern. Radiation: Cu Kα X-rays. Structure: a structure optimized by DFT (GGA-PBE).

Peak list (10 most intense, 10 to 90 degrees two-theta, by intensity)
2θ/deg, d_spacing, intensity
31.85, 2.809, 100
41.53, 2.174, 83
30.50, 2.931, 65
36.97, 2.431, 61
25.93, 3.436, 55
45.71, 1.985, 47
40.43, 2.231, 36
18.24, 4.863, 35
75.05, 1.266, 28
69.01, 1.361, 20

Crystal structure
a = 6.8706 Å, b = 6.8706 Å, c = 16.8736 Å
α = 90.00°, β = 90.00°, γ = 120.00°
Space group R3 (No. 146, hexagonal axes)
Symmetry-distinct sites (fractional):
Ba: 0.0000 0.0000 0.0000 (multiplicity 3)
Ge: 0.0000 0.0000 0.2973 (multiplicity 3)
Ge: 0.0000 0.0000 0.5469 (multiplicity 3)
Ge: 0.0000 0.0000 0.8097 (multiplicity 3)
Au: 0.0104 0.2604 0.1762 (multiplicity 9)
Au: 0.1649 0.3852 0.3557 (multiplicity 9)

=====

Entry 9:
This entry pairs a crystal structure of InReO4 with its theoretical powder X-ray diffraction pattern. Radiation: Cu Kα X-rays. Structure: a structure optimized by DFT (GGA-PBE).

Peak list (10 most intense, 10 to 90 degrees two-theta, by intensity)
2θ/deg, d_spacing, intensity
26.55, 3.358, 100
32.98, 2.716, 70
51.09, 1.788, 35
33.52, 2.674, 22
51.84, 1.764, 17
50.74, 1.799, 17
54.67, 1.679, 16
37.47, 2.400, 14
38.32, 2.349, 12
64.78, 1.439, 10

Crystal structure
a = 5.7850 Å, b = 4.8006 Å, c = 5.6893 Å
α = 90.00°, β = 109.97°, γ = 90.00°
Space group P2_1/c (No. 14)
Symmetry-distinct sites (fractional):
In: 0.0000 0.0000 0.0000 (multiplicity 2)
Re: 0.5000 0.0000 0.5000 (multiplicity 2)
O: 0.1718 0.1630 0.3732 (multiplicity 4)
O: 0.3763 0.7148 0.6775 (multiplicity 4)